This entry pairs a crystal structure of LaMg14Cr with its theoretical XRD peak list. Radiation: Cu Kα, 1.54184 Å. Structure: a PBE-relaxed structure.
Kinematic intensities with the Lorentz-polarization factor, no thermal factor.

The 12 most intense peaks (2θ from 10° to 90°), in order of rising 2θ:
index	2θ (°)	d (Å)	Rel. int.
1 0 0	15.67	5.655	34
1 0 1	17.88	4.961	15
1 0 2	23.32	3.814	26
2 0 0	31.64	2.828	28
1 1 2	32.44	2.760	11
0 0 4	34.74	2.583	24
2 0 2	36.22	2.480	100
2 0 4	47.69	1.907	17
2 2 0	56.36	1.632	17
2 0 6	63.23	1.471	17
2 2 4	67.93	1.380	18
4 0 2	68.85	1.364	14

Structure:
```
LaMg14Cr
1.0
6.530 0.000 0.000
-3.265 5.655 0.000
0.000 0.000 10.330
La Mg Cr
1 14 1
direct
0.000 0.000 0.000 La
0.016 0.508 0.000 Mg
0.166 0.331 0.263 Mg
0.166 0.331 0.737 Mg
0.166 0.834 0.263 Mg
0.166 0.834 0.737 Mg
0.492 0.508 0.000 Mg
0.492 0.984 0.000 Mg
0.503 0.005 0.500 Mg
0.503 0.497 0.500 Mg
0.667 0.333 0.236 Mg
0.667 0.333 0.764 Mg
0.669 0.834 0.263 Mg
0.669 0.834 0.737 Mg
0.995 0.497 0.500 Mg
0.000 0.000 0.500 Cr
```